This entry pairs a crystal structure of La12Tb7Ho with its calculated X-ray powder pattern. Radiation: Cu Kα (weighted mean of Kα1 and Kα2). Structure: a crystal structure in Alexandria, relaxed with PBE.
No peak broadening, texture or thermal motion is included.

Structure:
Lattice parameters (Å, degrees): 12.5231 12.5231 15.4824 90.00 90.00 120.00
Space group R-3 (No. 148, hexagonal axes)
One atom of each set of equivalent atoms:
La 0.0142 0.4389 0.2208 [18 per cell]
La 0.0661 0.5961 0.5779 [18 per cell]
Tb 0.0000 0.0000 0.0000 [3 per cell]
Tb 0.0524 0.1841 0.3074 [18 per cell]
Ho 0.0000 0.0000 0.5000 [3 per cell]

Peak list (10 most intense, 5 to 70 degrees two-theta, in order of falling intensity)
30.2°, d 2.955, intensity 100; 31.9°, d 2.804, intensity 53; 31.8°, d 2.814, intensity 35; 30.0°, d 2.978, intensity 21; 28.3°, d 3.150, intensity 16; 52.7°, d 1.737, intensity 14; 33.3°, d 2.689, intensity 13; 55.9°, d 1.645, intensity 12; 37.7°, d 2.386, intensity 12; 52.5°, d 1.744, intensity 11